# 1
Rb2LiPdF6: simulated X-ray diffraction stick pattern (Cu Kα, 1.54184 Å), based on a cell relaxed with GGA-PBE.
No peak broadening, texture or thermal motion is included.

Structure:
```
Rb2LiPdF6
1.0
2.8558 1.6488 4.6791
-2.8558 1.6488 4.6791
0.0000 -3.2976 4.6791
Rb Li Pd F
2 1 1 6
Direct
0.2500 0.2500 0.2500 Rb
0.7500 0.7500 0.7500 Rb
0.0000 0.0000 0.0000 Li
0.5000 0.5000 0.5000 Pd
0.2467 0.2485 0.7518 F
0.2485 0.7518 0.2467 F
0.2482 0.7533 0.7515 F
0.7518 0.2467 0.2485 F
0.7515 0.2482 0.7533 F
0.7533 0.7515 0.2482 F
```

Principal peaks in the range 5 to 70 degrees two-theta, in order of rising 2θ:
2θ (°), I/Imax
19.0, 39
31.3, 100
36.9, 23
38.6, 14
44.8, 47
55.6, 10
55.7, 30
59.4, 5
65.2, 14
65.4, 14

***

# 2
Li4PuF8: simulated X-ray diffraction stick pattern (Cu Kα, 1.54184 Å), based on a cell relaxed with GGA-PBE.
No peak broadening, texture or thermal motion is included.

Structure:
```
Li4PuF8
1.0
9.9557 0.0000 0.0000
0.0000 9.6965 0.0000
0.0000 0.0000 5.8508
Li Pu F
16 4 32
Direct
0.0864 0.0224 0.1540 Li
0.0864 0.4776 0.1540 Li
0.1494 0.6186 0.6361 Li
0.1494 0.8814 0.6361 Li
0.3506 0.1186 0.1361 Li
0.3506 0.3814 0.1361 Li
0.4136 0.5224 0.6540 Li
0.4136 0.9776 0.6540 Li
0.5864 0.0224 0.3460 Li
0.5864 0.4776 0.3460 Li
0.6494 0.6186 0.8639 Li
0.6494 0.8814 0.8639 Li
0.8506 0.1186 0.3639 Li
0.8506 0.3814 0.3639 Li
0.9136 0.5224 0.8460 Li
0.9136 0.9776 0.8460 Li
0.1512 0.2500 0.6420 Pu
0.3488 0.7500 0.1420 Pu
0.6512 0.2500 0.8580 Pu
0.8488 0.7500 0.3580 Pu
0.0315 0.1196 0.3960 F
0.0315 0.3804 0.3960 F
0.0415 0.1116 0.8838 F
0.0415 0.3884 0.8838 F
0.1870 0.7500 0.4006 F
0.2120 0.7500 0.8397 F
0.2474 0.0374 0.6118 F
0.2474 0.4626 0.6118 F
0.2526 0.5374 0.1118 F
0.2526 0.9626 0.1118 F
0.2880 0.2500 0.3397 F
0.3130 0.2500 0.9006 F
0.4585 0.6116 0.3838 F
0.4585 0.8884 0.3838 F
0.4685 0.6196 0.8960 F
0.4685 0.8804 0.8960 F
0.5315 0.1196 0.1040 F
0.5315 0.3804 0.1040 F
0.5415 0.1116 0.6162 F
0.5415 0.3884 0.6162 F
0.6870 0.7500 0.0994 F
0.7120 0.7500 0.6603 F
0.7474 0.0374 0.8882 F
0.7474 0.4626 0.8882 F
0.7526 0.5374 0.3882 F
0.7526 0.9626 0.3882 F
0.7880 0.2500 0.1603 F
0.8130 0.2500 0.5994 F
0.9585 0.6116 0.1162 F
0.9585 0.8884 0.1162 F
0.9685 0.6196 0.6040 F
0.9685 0.8804 0.6040 F
```

Principal peaks in the range 5 to 70 degrees two-theta, in order of rising 2θ:
2θ (°), I/Imax
17.6, 24
17.7, 89
18.3, 62
19.8, 60
20.1, 100
23.5, 46
29.9, 51
31.9, 24
42.2, 51
42.7, 26

***

# 3
LiThF5: simulated X-ray diffraction stick pattern (Cu Kα, 1.54184 Å), based on a cell relaxed with GGA-PBE.
No peak broadening, texture or thermal motion is included.

Structure:
```
LiThF5
1.0
-7.4099 7.4099 3.2533
7.4099 -7.4099 3.2533
7.4099 7.4099 -3.2533
Li Th F
8 8 40
Direct
0.1626 0.0528 0.2678 Li
0.2850 0.8948 0.2322 Li
0.3948 0.6626 0.6098 Li
0.4472 0.2150 0.1098 Li
0.5528 0.7850 0.8902 Li
0.6052 0.3374 0.3902 Li
0.7150 0.1052 0.7678 Li
0.8374 0.9472 0.7322 Li
0.1882 0.6947 0.8832 Th
0.1949 0.3118 0.0065 Th
0.1947 0.8116 0.5065 Th
0.3116 0.3051 0.6168 Th
0.6884 0.6949 0.3832 Th
0.8053 0.1884 0.4935 Th
0.8051 0.6882 0.9935 Th
0.8118 0.3053 0.1168 Th
0.0279 0.6078 0.2910 F
0.0368 0.0614 0.1203 F
0.0525 0.3459 0.1186 F
0.0853 0.0759 0.4062 F
0.1078 0.3168 0.5799 F
0.1541 0.7727 0.7066 F
0.1564 0.9280 0.1202 F
0.1697 0.6791 0.0938 F
0.1791 0.5853 0.5094 F
0.1832 0.2631 0.7910 F
0.2369 0.5279 0.9201 F
0.2727 0.0660 0.6186 F
0.3079 0.0362 0.3798 F
0.4165 0.5368 0.4754 F
0.4241 0.3303 0.0094 F
0.4280 0.8079 0.7717 F
0.4340 0.5525 0.2066 F
0.4386 0.0590 0.9754 F
0.4410 0.9165 0.3797 F
0.4638 0.3436 0.2717 F
0.5362 0.6564 0.7283 F
0.5590 0.0835 0.6203 F
0.5614 0.9410 0.0246 F
0.5661 0.4475 0.7934 F
0.5720 0.1921 0.2283 F
0.5759 0.6697 0.9906 F
0.5835 0.4632 0.5246 F
0.6921 0.9638 0.6202 F
0.7273 0.9340 0.3814 F
0.7631 0.4721 0.0799 F
0.8168 0.7369 0.2090 F
0.8209 0.4147 0.4906 F
0.8303 0.3209 0.9062 F
0.8436 0.0720 0.8798 F
0.8459 0.2273 0.2934 F
0.8922 0.6832 0.4201 F
0.9147 0.9241 0.5938 F
0.9475 0.6541 0.8814 F
0.9632 0.9386 0.8797 F
0.9721 0.3922 0.7090 F
```

Principal peaks in the range 5 to 70 degrees two-theta, in order of rising 2θ:
2θ (°), I/Imax
16.9, 83
19.1, 100
22.6, 53
25.6, 53
26.9, 68
28.4, 52
30.0, 63
44.1, 37
44.4, 61
49.2, 27

***

# 4
LiTl2ZnF6: simulated X-ray diffraction stick pattern (Cu Kα, 1.54184 Å), based on a cell relaxed with GGA-PBE.
No peak broadening, texture or thermal motion is included.

Structure:
```
LiTl2ZnF6
1.0
-2.7664 2.7664 4.0762
2.7664 -2.7664 4.0762
2.7664 2.7664 -4.0762
Li Tl Zn F
1 2 1 6
Direct
0.0000 0.0000 0.0000 Li
0.2500 0.7500 0.5000 Tl
0.7500 0.2500 0.5000 Tl
0.5000 0.5000 0.0000 Zn
0.2007 0.7075 0.9082 F
0.2488 0.2488 0.0000 F
0.2925 0.2007 0.4932 F
0.7075 0.7993 0.5068 F
0.7512 0.7512 0.0000 F
0.7993 0.2925 0.0918 F
```

Principal peaks in the range 5 to 70 degrees two-theta, in order of rising 2θ:
2θ (°), I/Imax
21.8, 26
22.7, 50
31.7, 100
32.4, 52
39.4, 55
44.5, 19
46.4, 30
56.0, 23
57.3, 43
66.2, 20

***

# 5
LiUF5: simulated X-ray diffraction stick pattern (Cu Kα, 1.54184 Å), based on a cell relaxed with GGA-PBE.
No peak broadening, texture or thermal motion is included.

Structure:
```
LiUF5
1.0
-7.2500 7.2500 3.1969
7.2500 -7.2500 3.1969
7.2500 7.2500 -3.1969
Li U F
8 8 40
Direct
0.1606 0.0534 0.2671 Li
0.2863 0.8935 0.2329 Li
0.3935 0.6606 0.6072 Li
0.4466 0.2137 0.1072 Li
0.5534 0.7863 0.8928 Li
0.6065 0.3394 0.3928 Li
0.7137 0.1065 0.7671 Li
0.8394 0.9466 0.7329 Li
0.1877 0.6948 0.8833 U
0.1948 0.8116 0.5072 U
0.1956 0.3123 0.0072 U
0.3116 0.3044 0.6167 U
0.6884 0.6956 0.3833 U
0.8044 0.6877 0.9928 U
0.8052 0.1884 0.4928 U
0.8123 0.3052 0.1167 U
0.0272 0.6064 0.2909 F
0.0379 0.0674 0.1218 F
0.0526 0.3479 0.1194 F
0.0898 0.0805 0.4082 F
0.1064 0.3155 0.5792 F
0.1521 0.7715 0.7048 F
0.1538 0.9263 0.1194 F
0.1724 0.6817 0.0918 F
0.1817 0.5898 0.5093 F
0.1845 0.2637 0.7909 F
0.2363 0.5272 0.9208 F
0.2715 0.0667 0.6194 F
0.3070 0.0344 0.3806 F
0.4161 0.5379 0.4704 F
0.4195 0.3276 0.0093 F
0.4263 0.8070 0.7726 F
0.4326 0.0544 0.9704 F
0.4333 0.5526 0.2048 F
0.4456 0.9161 0.3782 F
0.4656 0.3462 0.2726 F
0.5344 0.6538 0.7274 F
0.5544 0.0839 0.6218 F
0.5667 0.4474 0.7952 F
0.5674 0.9456 0.0296 F
0.5737 0.1930 0.2274 F
0.5805 0.6724 0.9907 F
0.5839 0.4621 0.5296 F
0.6930 0.9656 0.6194 F
0.7285 0.9333 0.3806 F
0.7637 0.4728 0.0792 F
0.8155 0.7363 0.2091 F
0.8183 0.4102 0.4907 F
0.8276 0.3183 0.9082 F
0.8462 0.0737 0.8806 F
0.8479 0.2285 0.2952 F
0.8936 0.6845 0.4208 F
0.9102 0.9195 0.5918 F
0.9474 0.6521 0.8806 F
0.9621 0.9326 0.8782 F
0.9728 0.3936 0.7091 F
```

Principal peaks in the range 5 to 70 degrees two-theta, in order of rising 2θ:
2θ (°), I/Imax
17.3, 82
19.5, 100
23.1, 51
26.2, 52
27.5, 68
29.0, 52
30.6, 64
33.9, 27
45.1, 36
45.3, 59

***

# 6
LuF: simulated X-ray diffraction stick pattern (Cu Kα, 1.54184 Å), based on a cell relaxed with GGA-PBE.
No peak broadening, texture or thermal motion is included.

Structure:
```
LuF
1.0
0.0000 2.6351 2.6351
2.6351 0.0000 2.6351
2.6351 2.6351 0.0000
Lu F
1 1
Direct
0.0000 0.0000 0.0000 Lu
0.2500 0.2500 0.2500 F
```

Principal peaks in the range 5 to 70 degrees two-theta, in order of rising 2θ:
2θ (°), I/Imax
29.4, 100
34.0, 39
48.9, 45
58.0, 44
60.9, 10

***

# 7
Lu3O2F5: simulated X-ray diffraction stick pattern (Cu Kα, 1.54184 Å), based on a cell relaxed with GGA-PBE.
No peak broadening, texture or thermal motion is included.

Structure:
```
Lu3O2F5
1.0
5.4348 0.0000 0.0000
0.0000 16.5939 0.0000
0.0000 0.0000 5.1645
Lu O F
12 8 20
Direct
0.1735 0.0969 0.0382 Lu
0.1735 0.4031 0.0382 Lu
0.2383 0.2500 0.4569 Lu
0.2617 0.7500 0.9569 Lu
0.3265 0.5969 0.5382 Lu
0.3265 0.9031 0.5382 Lu
0.6735 0.0969 0.4618 Lu
0.6735 0.4031 0.4618 Lu
0.7383 0.2500 0.0431 Lu
0.7617 0.7500 0.5431 Lu
0.8265 0.5969 0.9618 Lu
0.8265 0.9031 0.9618 Lu
0.0377 0.6684 0.6998 O
0.0377 0.8316 0.6998 O
0.4623 0.1684 0.1998 O
0.4623 0.3316 0.1998 O
0.5377 0.6684 0.8002 O
0.5377 0.8316 0.8002 O
0.9623 0.1684 0.3002 O
0.9623 0.3316 0.3002 O
0.1133 0.2500 0.8610 F
0.1141 0.5131 0.7804 F
0.1141 0.9869 0.7804 F
0.1669 0.6252 0.1716 F
0.1669 0.8748 0.1716 F
0.3331 0.1252 0.6716 F
0.3331 0.3748 0.6716 F
0.3859 0.0131 0.2804 F
0.3859 0.4869 0.2804 F
0.3867 0.7500 0.3610 F
0.6133 0.2500 0.6390 F
0.6141 0.5131 0.7196 F
0.6141 0.9869 0.7196 F
0.6669 0.6252 0.3284 F
0.6669 0.8748 0.3284 F
0.8331 0.1252 0.8284 F
0.8331 0.3748 0.8284 F
0.8859 0.0131 0.2196 F
0.8859 0.4869 0.2196 F
0.8867 0.7500 0.1390 F
```

Principal peaks in the range 5 to 70 degrees two-theta, in order of rising 2θ:
2θ (°), I/Imax
23.8, 11
28.8, 100
32.4, 18
33.0, 12
34.7, 12
44.6, 10
46.9, 10
48.2, 14
55.6, 13
58.7, 10

***

# 8
LuOF: simulated X-ray diffraction stick pattern (Cu Kα, 1.54184 Å), based on a cell relaxed with GGA-PBE.
No peak broadening, texture or thermal motion is included.

Structure:
```
LuOF
1.0
1.8365 1.0603 6.1144
-1.8365 1.0603 6.1144
0.0000 -2.1206 6.1144
Lu O F
2 2 2
Direct
0.2409 0.2409 0.2409 Lu
0.7591 0.7591 0.7591 Lu
0.1214 0.1214 0.1214 O
0.8786 0.8786 0.8786 O
0.3698 0.3698 0.3698 F
0.6302 0.6302 0.6302 F
```

Principal peaks in the range 5 to 70 degrees two-theta, in order of rising 2θ:
2θ (°), I/Imax
29.2, 31
29.7, 100
34.3, 40
44.8, 6
49.0, 30
49.6, 35
58.0, 11
58.6, 26
58.9, 15
61.7, 8